Diffraction record for BaSn5. The powder X-ray diffraction pattern is calculated, not measured: it uses a DFT-relaxed cell (GGA-PBE, the Materials Project) and λ = 1.5418 Å (Cu Kα).
No peak broadening, texture or thermal motion is included.

Structure:
abc: 5.4693 5.4693 7.1880
angles: 90.00 90.00 120.00
Element x y z (fractional)
Ba: 0.0000 0.0000 0.0000
Sn: 0.0000 0.0000 0.5000
Sn: 0.3333 0.6667 0.2925
Sn: 0.3333 0.6667 0.7075
Sn: 0.6667 0.3333 0.2925
Sn: 0.6667 0.3333 0.7075

Most intense lines, 2θ from 10° to 80°, low angle first:
12.31°, intensity 8
31.24°, intensity 88
32.75°, intensity 100
45.89°, intensity 31
50.65°, intensity 14
57.51°, intensity 32
58.46°, intensity 20
61.77°, intensity 14
68.64°, intensity 12
77.34°, intensity 14

***

Diffraction record for Ba2Sn. The powder X-ray diffraction pattern is calculated, not measured: it uses a DFT-relaxed cell (GGA-PBE, the Materials Project) and λ = 1.5418 Å (Cu Kα).
No peak broadening, texture or thermal motion is included.

Structure:
abc: 8.8410 5.6865 10.7500
angles: 90.00 90.00 90.00
Element x y z (fractional)
Ba: 0.0218 0.2500 0.1779
Ba: 0.1528 0.2500 0.5786
Ba: 0.3472 0.7500 0.0786
Ba: 0.4782 0.7500 0.6779
Ba: 0.5218 0.2500 0.3221
Ba: 0.6528 0.2500 0.9214
Ba: 0.8472 0.7500 0.4214
Ba: 0.9782 0.7500 0.8221
Sn: 0.2476 0.2500 0.8955
Sn: 0.2524 0.7500 0.3955
Sn: 0.7476 0.2500 0.6045
Sn: 0.7524 0.7500 0.1045

Most intense lines, 2θ from 10° to 80°, low angle first:
24.92°, intensity 61
25.52°, intensity 29
26.10°, intensity 18
26.86°, intensity 100
29.46°, intensity 55
31.47°, intensity 63
34.72°, intensity 17
45.10°, intensity 17
48.56°, intensity 20
55.32°, intensity 19

***

Diffraction record for BaSn2. The powder X-ray diffraction pattern is calculated, not measured: it uses a DFT-relaxed cell (GGA-PBE, the Materials Project) and λ = 1.5418 Å (Cu Kα).
No peak broadening, texture or thermal motion is included.

Structure:
abc: 4.7650 4.7650 5.6084
angles: 90.00 90.00 120.00
Element x y z (fractional)
Ba: 0.0000 0.0000 0.0000
Sn: 0.3333 0.6667 0.6036
Sn: 0.6667 0.3333 0.3964

Most intense lines, 2θ from 10° to 80°, low angle first:
26.82°, intensity 100
37.76°, intensity 42
38.83°, intensity 28
46.92°, intensity 22
50.25°, intensity 10
53.84°, intensity 10
55.28°, intensity 10
61.73°, intensity 20
68.17°, intensity 8
68.89°, intensity 11

***

Diffraction record for Ba3Sn5. The powder X-ray diffraction pattern is calculated, not measured: it uses a DFT-relaxed cell (GGA-PBE, the Materials Project) and λ = 1.5418 Å (Cu Kα).
No peak broadening, texture or thermal motion is included.

Structure:
abc: 7.2068 7.2068 11.3193
angles: 90.00 90.00 78.35
Element x y z (fractional)
Ba: 0.1496 0.8504 0.7500
Ba: 0.2947 0.2947 0.0000
Ba: 0.2947 0.2947 0.5000
Ba: 0.7053 0.7053 0.0000
Ba: 0.7053 0.7053 0.5000
Ba: 0.8504 0.1496 0.2500
Sn: 0.0198 0.5962 0.2500
Sn: 0.1931 0.8069 0.0604
Sn: 0.1931 0.8069 0.4396
Sn: 0.4038 0.9802 0.2500
Sn: 0.4493 0.5507 0.2500
Sn: 0.5507 0.4493 0.7500
Sn: 0.5962 0.0198 0.7500
Sn: 0.8069 0.1931 0.5604
Sn: 0.8069 0.1931 0.9396
Sn: 0.9802 0.4038 0.7500

Most intense lines, 2θ from 10° to 80°, low angle first:
25.10°, intensity 20
26.45°, intensity 20
29.84°, intensity 100
30.36°, intensity 35
30.52°, intensity 41
31.62°, intensity 40
32.04°, intensity 26
34.81°, intensity 37
35.27°, intensity 46
50.74°, intensity 26

***

Diffraction record for Ba3Sn2. The powder X-ray diffraction pattern is calculated, not measured: it uses a DFT-relaxed cell (GGA-PBE, the Materials Project) and λ = 1.5418 Å (Cu Kα).
No peak broadening, texture or thermal motion is included.

Structure:
abc: 6.7264 6.7264 18.1140
angles: 90.00 90.00 90.00
Element x y z (fractional)
Ba: 0.0856 0.3413 0.3871
Ba: 0.1587 0.5856 0.1371
Ba: 0.1723 0.1723 0.0000
Ba: 0.3277 0.6723 0.7500
Ba: 0.3413 0.0856 0.6129
Ba: 0.4144 0.8413 0.3629
Ba: 0.5856 0.1587 0.8629
Ba: 0.6587 0.9144 0.1129
Ba: 0.6723 0.3277 0.2500
Ba: 0.8277 0.8277 0.5000
Ba: 0.8413 0.4144 0.6371
Ba: 0.9144 0.6587 0.8871
Sn: 0.0880 0.1694 0.7977
Sn: 0.1694 0.0880 0.2023
Sn: 0.3306 0.5880 0.5477
Sn: 0.4120 0.6694 0.9523
Sn: 0.5880 0.3306 0.4523
Sn: 0.6694 0.4120 0.0477
Sn: 0.8306 0.9120 0.7023
Sn: 0.9120 0.8306 0.2977

Most intense lines, 2θ from 10° to 80°, low angle first:
26.96°, intensity 62
27.19°, intensity 39
27.97°, intensity 100
28.31°, intensity 35
29.70°, intensity 73
31.03°, intensity 67
31.33°, intensity 53
33.26°, intensity 40
49.09°, intensity 37
54.85°, intensity 34

***

Diffraction record for BaSr3. The powder X-ray diffraction pattern is calculated, not measured: it uses a DFT-relaxed cell (GGA-PBE, the Materials Project) and λ = 1.5418 Å (Cu Kα).
No peak broadening, texture or thermal motion is included.

Structure:
abc: 7.4780 7.4780 7.4780
angles: 131.46 131.46 71.08
Element x y z (fractional)
Ba: 0.0000 0.0000 0.0000
Sr: 0.2500 0.7500 0.5000
Sr: 0.5000 0.5000 0.0000
Sr: 0.7500 0.2500 0.5000

Most intense lines, 2θ from 10° to 80°, low angle first:
25.18°, intensity 100
29.05°, intensity 35
29.36°, intensity 17
41.55°, intensity 13
41.77°, intensity 26
49.20°, intensity 32
49.60°, intensity 15
51.69°, intensity 14
66.64°, intensity 13
75.96°, intensity 9

***

Diffraction record for BaSr3. The powder X-ray diffraction pattern is calculated, not measured: it uses a DFT-relaxed cell (GGA-PBE, the Materials Project) and λ = 1.5418 Å (Cu Kα).
No peak broadening, texture or thermal motion is included.

Structure:
abc: 8.6527 8.6527 7.1085
angles: 90.00 90.00 120.00
Element x y z (fractional)
Ba: 0.3333 0.6667 0.2500
Ba: 0.6667 0.3333 0.7500
Sr: 0.1663 0.3326 0.7500
Sr: 0.1663 0.8337 0.7500
Sr: 0.3326 0.1663 0.2500
Sr: 0.6674 0.8337 0.7500
Sr: 0.8337 0.1663 0.2500
Sr: 0.8337 0.6674 0.2500

Most intense lines, 2θ from 10° to 80°, low angle first:
23.75°, intensity 23
25.05°, intensity 27
26.90°, intensity 100
34.79°, intensity 17
41.76°, intensity 20
45.28°, intensity 24
49.32°, intensity 25
50.37°, intensity 17
67.43°, intensity 15
78.72°, intensity 9

***

Diffraction record for BaSr3. The powder X-ray diffraction pattern is calculated, not measured: it uses a DFT-relaxed cell (GGA-PBE, the Materials Project) and λ = 1.5418 Å (Cu Kα).
No peak broadening, texture or thermal motion is included.

Structure:
abc: 6.8118 6.8118 6.8118
angles: 60.00 60.00 60.00
Element x y z (fractional)
Ba: 0.0000 0.0000 0.0000
Sr: 0.2500 0.2500 0.2500
Sr: 0.5000 0.5000 0.5000
Sr: 0.7500 0.7500 0.7500

Most intense lines, 2θ from 10° to 80°, low angle first:
15.93°, intensity 3
26.16°, intensity 100
30.78°, intensity 2
37.34°, intensity 19
46.16°, intensity 42
53.83°, intensity 13
60.81°, intensity 18
67.34°, intensity 5
73.58°, intensity 21
79.61°, intensity 2

***

Diffraction record for BaSr. The powder X-ray diffraction pattern is calculated, not measured: it uses a DFT-relaxed cell (GGA-PBE, the Materials Project) and λ = 1.5418 Å (Cu Kα).
No peak broadening, texture or thermal motion is included.

Structure:
abc: 4.2749 4.2749 6.7977
angles: 90.00 90.00 108.16
Element x y z (fractional)
Ba: 0.0000 0.0000 0.0000
Sr: 0.5000 0.5000 0.5000

Most intense lines, 2θ from 10° to 80°, low angle first:
25.55°, intensity 100
25.73°, intensity 25
26.22°, intensity 23
35.81°, intensity 10
37.07°, intensity 19
44.62°, intensity 11
44.92°, intensity 11
45.26°, intensity 21
45.86°, intensity 20
52.49°, intensity 14

***

Diffraction record for BaSrTl2. The powder X-ray diffraction pattern is calculated, not measured: it uses a DFT-relaxed cell (GGA-PBE, the Materials Project) and λ = 1.5418 Å (Cu Kα).
No peak broadening, texture or thermal motion is included.

Structure:
abc: 5.9744 5.9744 5.9744
angles: 60.00 60.00 60.00
Element x y z (fractional)
Ba: 0.0000 0.0000 0.0000
Sr: 0.5000 0.5000 0.5000
Tl: 0.2500 0.2500 0.2500
Tl: 0.7500 0.7500 0.7500

Most intense lines, 2θ from 10° to 80°, low angle first:
21.03°, intensity 10
29.91°, intensity 100
36.85°, intensity 3
42.81°, intensity 19
48.17°, intensity 5
53.10°, intensity 41
62.15°, intensity 13
66.39°, intensity 2
70.49°, intensity 18
78.42°, intensity 4

***

Diffraction record for BaTb2Te4. The powder X-ray diffraction pattern is calculated, not measured: it uses a DFT-relaxed cell (GGA-PBE, the Materials Project) and λ = 1.5418 Å (Cu Kα).
No peak broadening, texture or thermal motion is included.

Structure:
abc: 13.8468 4.5033 16.3656
angles: 90.00 90.00 90.00
Element x y z (fractional)
Ba: 0.2388 0.2500 0.1694
Ba: 0.2612 0.7500 0.6694
Ba: 0.7388 0.2500 0.3306
Ba: 0.7612 0.7500 0.8306
Tb: 0.0599 0.2500 0.3906
Tb: 0.0806 0.2500 0.9035
Tb: 0.4194 0.7500 0.4035
Tb: 0.4401 0.7500 0.8906
Tb: 0.5599 0.2500 0.1094
Tb: 0.5806 0.2500 0.5965
Tb: 0.9194 0.7500 0.0965
Tb: 0.9401 0.7500 0.6094
Te: 0.0270 0.7500 0.7840
Te: 0.0900 0.2500 0.5767
Te: 0.1279 0.7500 0.0286
Te: 0.2050 0.7500 0.3383
Te: 0.2950 0.2500 0.8383
Te: 0.3721 0.2500 0.5286
Te: 0.4100 0.7500 0.0767
Te: 0.4730 0.2500 0.2840
Te: 0.5270 0.7500 0.7160
Te: 0.5900 0.2500 0.9233
Te: 0.6279 0.7500 0.4714
Te: 0.7050 0.7500 0.1617
Te: 0.7950 0.2500 0.6617
Te: 0.8721 0.2500 0.9714
Te: 0.9100 0.7500 0.4233
Te: 0.9730 0.2500 0.2160

Most intense lines, 2θ from 10° to 80°, low angle first:
25.65°, intensity 56
26.46°, intensity 100
27.99°, intensity 82
28.22°, intensity 72
32.26°, intensity 87
32.63°, intensity 47
35.37°, intensity 50
39.54°, intensity 51
40.04°, intensity 74
40.80°, intensity 54

***

Diffraction record for BaTe3. The powder X-ray diffraction pattern is calculated, not measured: it uses a DFT-relaxed cell (GGA-PBE, the Materials Project) and λ = 1.5418 Å (Cu Kα).
No peak broadening, texture or thermal motion is included.

Structure:
abc: 8.0880 8.0880 4.4142
angles: 90.00 90.00 90.00
Element x y z (fractional)
Ba: 0.0000 0.0000 0.0000
Ba: 0.5000 0.5000 0.0000
Te: 0.0000 0.5000 0.1075
Te: 0.1974 0.6974 0.5031
Te: 0.3026 0.1974 0.4969
Te: 0.5000 0.0000 0.8925
Te: 0.6974 0.8026 0.4969
Te: 0.8026 0.3026 0.5031

Most intense lines, 2θ from 10° to 80°, low angle first:
24.61°, intensity 19
29.97°, intensity 100
31.28°, intensity 42
31.99°, intensity 25
40.89°, intensity 10
44.82°, intensity 9
48.31°, intensity 10
50.94°, intensity 14
52.34°, intensity 16
54.88°, intensity 21

***

Diffraction record for Ba3Te. The powder X-ray diffraction pattern is calculated, not measured: it uses a DFT-relaxed cell (GGA-PBE, the Materials Project) and λ = 1.5418 Å (Cu Kα).
No peak broadening, texture or thermal motion is included.

Structure:
abc: 7.9811 7.9811 6.2375
angles: 90.00 90.00 120.00
Element x y z (fractional)
Ba: 0.1775 0.3551 0.2500
Ba: 0.1775 0.8225 0.2500
Ba: 0.3551 0.1775 0.7500
Ba: 0.6449 0.8225 0.2500
Ba: 0.8225 0.1775 0.7500
Ba: 0.8225 0.6449 0.7500
Te: 0.3333 0.6667 0.7500
Te: 0.6667 0.3333 0.2500

Most intense lines, 2θ from 10° to 80°, low angle first:
25.78°, intensity 24
28.62°, intensity 25
29.55°, intensity 100
38.90°, intensity 16
45.46°, intensity 19
51.28°, intensity 21
54.60°, intensity 22
55.16°, intensity 16
74.17°, intensity 12
77.72°, intensity 8

***

Diffraction record for Ba3Te. The powder X-ray diffraction pattern is calculated, not measured: it uses a DFT-relaxed cell (GGA-PBE, the Materials Project) and λ = 1.5418 Å (Cu Kα).
No peak broadening, texture or thermal motion is included.

Structure:
abc: 7.6984 7.6984 7.6984
angles: 139.29 139.29 58.93
Element x y z (fractional)
Ba: 0.0000 0.0000 0.0000
Ba: 0.2500 0.7500 0.5000
Ba: 0.7500 0.2500 0.5000
Te: 0.5000 0.5000 0.0000

Most intense lines, 2θ from 10° to 80°, low angle first:
26.60°, intensity 26
27.04°, intensity 100
33.47°, intensity 29
43.25°, intensity 28
47.24°, intensity 21
48.05°, intensity 10
55.76°, intensity 13
56.01°, intensity 26
65.74°, intensity 8
69.67°, intensity 14